The following is a calculated PXRD pattern of Er4Tm2In. It was derived from a GGA-PBE-relaxed structure, using CuKα.

Cell and atoms:
a = 11.4886 Å, b = 6.3590 Å, c = 11.9235 Å
α = 70.50°, β = 31.45°, γ = 78.05°
Element x y z (fractional)
Er 0.0025 0.1600 0.7635
Er 0.1600 0.0025 0.0740
Er 0.1760 0.4865 0.0900
Er 0.4070 0.5930 0.4312
Er 0.4865 0.1760 0.2475
Er 0.5930 0.4070 0.5688
Er 0.6812 0.8188 0.6570
Er 0.8188 0.6812 0.8430
Tm 0.2190 0.6224 0.3058
Tm 0.3971 0.9442 0.6276
Tm 0.6224 0.2190 0.8529
Tm 0.9442 0.3971 0.0310
In 0.0947 0.0947 0.4053
In 0.8447 0.8447 0.1553

Principal peaks in the range 10° ≤ 2θ ≤ 90°, by intensity:
2θ (°)	d (Å)	I/Imax
33.51	2.674	100
32.43	2.760	71
29.02	3.077	70
31.59	2.832	55
30.52	2.929	53
33.91	2.643	43
35.69	2.515	37
36.01	2.494	35
58.19	1.585	21
50.06	1.822	20